This entry pairs a crystal structure of KLi3Zn4H12 with its computed PXRD pattern. Radiation: λ = 1.5418 Å (Cu Kα). Structure: a structure optimized by DFT (GGA-PBE).
Peak positions follow from Bragg's law for the DFT cell and can differ from measured ones.

```
data_KLi3Zn4H12
_symmetry_space_group_name_H-M 'P 1'
_symmetry_Int_Tables_number 1
_symmetry_space_group_name_Hall 'P 1'
_cell_length_a 6.4602
_cell_length_b 6.4602
_cell_length_c 6.4602
_cell_angle_alpha 106.72
_cell_angle_beta 106.72
_cell_angle_gamma 106.72
loop_
_atom_site_label
_atom_site_type_symbol
_atom_site_fract_x
_atom_site_fract_y
_atom_site_fract_z
K1 K 0.0000 0.0000 0.0000
Li1 Li 0.0000 0.5630 0.4370
Li2 Li 0.4370 0.0000 0.5630
Li3 Li 0.5630 0.4370 0.0000
Zn1 Zn 0.0680 0.5000 0.9320
Zn2 Zn 0.5000 0.5000 0.5000
Zn3 Zn 0.5000 0.9320 0.0680
Zn4 Zn 0.9320 0.0680 0.5000
H1 H 0.0693 0.6501 0.7705
H2 H 0.0877 0.9123 0.5000
H3 H 0.2295 0.3499 0.9307
H4 H 0.3438 0.6562 0.5000
H5 H 0.3499 0.9307 0.2295
H6 H 0.5000 0.0877 0.9123
H7 H 0.5000 0.3438 0.6562
H8 H 0.6501 0.7705 0.0693
H9 H 0.6562 0.5000 0.3438
H10 H 0.7705 0.0693 0.6501
H11 H 0.9123 0.5000 0.0877
H12 H 0.9307 0.2295 0.3499
```

Principal peaks in the range 15° ≤ 2θ ≤ 90°, in order of rising 2θ:
2θ/deg  I (rel.)
17.1  597
23.3  860
29.0  303
31.6  1000
34.6  382
38.2  467

This entry pairs a crystal structure of Ac6Rh4Au with its computed PXRD pattern. Radiation: λ = 1.5418 Å (Cu Kα). Structure: a structure optimized by DFT (GGA-PBE).
Peak positions follow from Bragg's law for the DFT cell and can differ from measured ones.

```
data_Ac6Rh4Au
_symmetry_space_group_name_H-M 'P 1'
_symmetry_Int_Tables_number 1
_symmetry_space_group_name_Hall 'P 1'
_cell_length_a 6.1267
_cell_length_b 6.1267
_cell_length_c 9.2432
_cell_angle_alpha 100.15
_cell_angle_beta 100.15
_cell_angle_gamma 84.66
loop_
_atom_site_label
_atom_site_type_symbol
_atom_site_fract_x
_atom_site_fract_y
_atom_site_fract_z
Ac1 Ac 0.0000 0.0000 0.0000
Ac2 Ac 0.1123 0.6018 0.3518
Ac3 Ac 0.4316 0.9523 0.7037
Ac4 Ac 0.5381 0.5381 0.0265
Ac5 Ac 0.6018 0.1123 0.3518
Ac6 Ac 0.9523 0.4316 0.7037
Rh1 Rh 0.0471 0.5011 0.0342
Rh2 Rh 0.4254 0.4254 0.6241
Rh3 Rh 0.5011 0.0471 0.0342
Rh4 Rh 0.9229 0.9229 0.6408
Au1 Au 0.6284 0.6284 0.4161
```

Principal peaks in the range 15° ≤ 2θ ≤ 90°, in order of rising 2θ:
2θ/deg  I (rel.)
29.4  236
29.7  1000
29.9  457
38.6  297
38.8  293
39.8  275

This entry pairs a crystal structure of U2NbH8 with its computed PXRD pattern. Radiation: λ = 1.5418 Å (Cu Kα). Structure: a structure optimized by DFT (GGA-PBE).
Peak positions follow from Bragg's law for the DFT cell and can differ from measured ones.

```
data_U2NbH8
_symmetry_space_group_name_H-M 'P 1'
_symmetry_Int_Tables_number 1
_symmetry_space_group_name_Hall 'P 1'
_cell_length_a 6.3872
_cell_length_b 6.3872
_cell_length_c 6.3872
_cell_angle_alpha 146.46
_cell_angle_beta 138.98
_cell_angle_gamma 53.98
loop_
_atom_site_label
_atom_site_type_symbol
_atom_site_fract_x
_atom_site_fract_y
_atom_site_fract_z
U1 U 0.1661 0.1661 0.0000
U2 U 0.8339 0.8339 0.0000
Nb1 Nb 0.5000 0.5000 0.0000
H1 H 0.1261 0.3574 0.7687
H2 H 0.2793 0.0000 0.2793
H3 H 0.2804 0.7804 0.5000
H4 H 0.4113 0.6426 0.7687
H5 H 0.5887 0.3574 0.2313
H6 H 0.7196 0.2196 0.5000
H7 H 0.7207 0.0000 0.7207
H8 H 0.8739 0.6426 0.2313
```

Principal peaks in the range 15° ≤ 2θ ≤ 90°, in order of rising 2θ:
2θ/deg  I (rel.)
30.9  1000
31.4  981
33.9  771
53.7  447
58.5  341
59.5  323

This entry pairs a crystal structure of Pr2NdDy12 with its computed PXRD pattern. Radiation: λ = 1.5418 Å (Cu Kα). Structure: a structure optimized by DFT (GGA-PBE).
Peak positions follow from Bragg's law for the DFT cell and can differ from measured ones.

```
data_Pr2NdDy12
_symmetry_space_group_name_H-M 'P 1'
_symmetry_Int_Tables_number 1
_symmetry_space_group_name_Hall 'P 1'
_cell_length_a 6.6865
_cell_length_b 6.6865
_cell_length_c 24.8938
_cell_angle_alpha 90.00
_cell_angle_beta 90.00
_cell_angle_gamma 116.13
loop_
_atom_site_label
_atom_site_type_symbol
_atom_site_fract_x
_atom_site_fract_y
_atom_site_fract_z
Pr1 Pr 0.2500 0.7500 0.2336
Pr2 Pr 0.2500 0.7500 0.7719
Pr3 Pr 0.7500 0.2500 0.2281
Pr4 Pr 0.7500 0.2500 0.7664
Nd1 Nd 0.2500 0.7500 0.5003
Nd2 Nd 0.7500 0.2500 0.4997
Dy1 Dy 0.0008 0.5008 0.6276
Dy2 Dy 0.0009 0.9991 0.4207
Dy3 Dy 0.0111 0.5111 0.0834
Dy4 Dy 0.0132 0.9868 0.9389
Dy5 Dy 0.2500 0.2500 0.1716
Dy6 Dy 0.2500 0.2500 0.3001
Dy7 Dy 0.2500 0.2500 0.6999
Dy8 Dy 0.2500 0.2500 0.8284
Dy9 Dy 0.4868 0.5132 0.9389
Dy10 Dy 0.4889 0.9889 0.0834
Dy11 Dy 0.4991 0.5009 0.4207
Dy12 Dy 0.4992 0.9992 0.6276
Dy13 Dy 0.5008 0.0008 0.3724
Dy14 Dy 0.5009 0.4991 0.5793
Dy15 Dy 0.5111 0.0111 0.9166
Dy16 Dy 0.5132 0.4868 0.0611
Dy17 Dy 0.7500 0.7500 0.1716
Dy18 Dy 0.7500 0.7500 0.3001
Dy19 Dy 0.7500 0.7500 0.6999
Dy20 Dy 0.7500 0.7500 0.8284
Dy21 Dy 0.9868 0.0132 0.0611
Dy22 Dy 0.9889 0.4889 0.9166
Dy23 Dy 0.9991 0.0009 0.5793
Dy24 Dy 0.9992 0.4992 0.3724
```

Principal peaks in the range 15° ≤ 2θ ≤ 90°, in order of rising 2θ:
2θ/deg  I (rel.)
29.6  679
30.6  987
31.5  1000
32.8  719
33.1  604
37.0  648

This entry pairs a crystal structure of Dy2Np5S12 with its computed PXRD pattern. Radiation: λ = 1.5418 Å (Cu Kα). Structure: a structure optimized by DFT (GGA-PBE).
Peak positions follow from Bragg's law for the DFT cell and can differ from measured ones.

```
data_Dy2Np5S12
_symmetry_space_group_name_H-M 'P 1'
_symmetry_Int_Tables_number 1
_symmetry_space_group_name_Hall 'P 1'
_cell_length_a 8.0438
_cell_length_b 8.0438
_cell_length_c 9.3310
_cell_angle_alpha 107.94
_cell_angle_beta 107.94
_cell_angle_gamma 57.99
loop_
_atom_site_label
_atom_site_type_symbol
_atom_site_fract_x
_atom_site_fract_y
_atom_site_fract_z
Dy1 Dy 0.2462 0.7538 0.0000
Dy2 Dy 0.7538 0.2462 0.0000
Np1 Np 0.0000 0.0000 0.5000
Np2 Np 0.2661 0.2661 0.0399
Np3 Np 0.3029 0.3029 0.6168
Np4 Np 0.6971 0.6971 0.3832
Np5 Np 0.7339 0.7339 0.9601
S1 S 0.0633 0.0633 0.8385
S2 S 0.0732 0.5241 0.8449
S3 S 0.0883 0.6392 0.4959
S4 S 0.3608 0.9117 0.5041
S5 S 0.4759 0.9268 0.1551
S6 S 0.4766 0.4766 0.1878
S7 S 0.5234 0.5234 0.8122
S8 S 0.5241 0.0732 0.8449
S9 S 0.6392 0.0883 0.4959
S10 S 0.9117 0.3608 0.5041
S11 S 0.9268 0.4759 0.1551
S12 S 0.9367 0.9367 0.1615
```

Principal peaks in the range 15° ≤ 2θ ≤ 90°, in order of rising 2θ:
2θ/deg  I (rel.)
20.3  897
22.2  1000
23.3  667
30.5  748
37.1  519
44.7  505

This entry pairs a crystal structure of Cu2Pd8S with its computed PXRD pattern. Radiation: λ = 1.5418 Å (Cu Kα). Structure: a structure optimized by DFT (GGA-PBE).
Peak positions follow from Bragg's law for the DFT cell and can differ from measured ones.

```
data_Cu2Pd8S
_symmetry_space_group_name_H-M 'P 1'
_symmetry_Int_Tables_number 1
_symmetry_space_group_name_Hall 'P 1'
_cell_length_a 7.5180
_cell_length_b 7.5180
_cell_length_c 5.5899
_cell_angle_alpha 111.74
_cell_angle_beta 111.74
_cell_angle_gamma 34.76
loop_
_atom_site_label
_atom_site_type_symbol
_atom_site_fract_x
_atom_site_fract_y
_atom_site_fract_z
Cu1 Cu 0.1851 0.1851 0.1853
Cu2 Cu 0.8149 0.8149 0.8147
Pd1 Pd 0.0006 0.0006 0.2456
Pd2 Pd 0.1881 0.1881 0.6900
Pd3 Pd 0.3636 0.3636 0.6199
Pd4 Pd 0.3651 0.3651 0.1058
Pd5 Pd 0.6349 0.6349 0.8942
Pd6 Pd 0.6364 0.6364 0.3801
Pd7 Pd 0.8119 0.8119 0.3100
Pd8 Pd 0.9994 0.9994 0.7544
S1 S 0.5000 0.5000 0.5000
```

Principal peaks in the range 15° ≤ 2θ ≤ 90°, in order of rising 2θ:
2θ/deg  I (rel.)
39.5  361
40.2  381
40.9  152
43.3  1000
75.1  186
79.8  149